1.
For Pu3Ga2Ni6, a GGA-PBE-relaxed structure gives the computed powder diffractogram in this record (copper Kα).

Largest 12 diffraction maxima, most intense first, 2θ from 15° to 90°:
2theta, Rel. int.
43.66, 100
35.35, 92
38.29, 50
41.05, 43
71.09, 42
32.18, 42
24.79, 39
57.38, 30
65.41, 25
59.44, 24
74.78, 17
61.47, 17

Structural model:
```
Pu3Ga2Ni6
1.0
-4.398 4.398 4.398
4.398 -4.398 4.398
4.398 4.398 -4.398
Pu Ga Ni
6 4 12
direct
0.000 0.270 0.270
0.000 0.730 0.730
0.270 0.000 0.270
0.270 0.270 0.000
0.730 0.000 0.730
0.730 0.730 0.000
0.000 0.000 0.500
0.000 0.500 0.000
0.500 0.000 0.000
0.500 0.500 0.500
0.000 0.347 0.653
0.000 0.653 0.347
0.307 0.653 0.653
0.347 0.000 0.653
0.347 0.347 0.693
0.347 0.653 0.000
0.347 0.693 0.347
0.653 0.000 0.347
0.653 0.307 0.653
0.653 0.347 0.000
0.653 0.653 0.307
0.693 0.347 0.347
```


2.
For K2SeBr2Cl4, a GGA-PBE-relaxed structure gives the computed powder diffractogram in this record (copper Kα).

Largest 12 diffraction maxima, most intense first, 2θ from 15° to 90°:
2theta, Rel. int.
30.00, 100
34.86, 74
17.23, 53
49.95, 49
34.62, 38
24.46, 28
50.13, 24
62.36, 24
59.53, 22
38.92, 14
42.85, 13
39.13, 13

Structural model:
```
K2SeBr2Cl4
1.0
-3.639 3.639 5.181
3.639 -3.639 5.181
3.639 3.639 -5.181
K Se Br Cl
2 1 2 4
direct
0.250 0.750 0.500
0.750 0.250 0.500
0.000 0.000 0.000
0.250 0.250 0.000
0.750 0.750 0.000
0.236 0.236 0.472
0.236 0.764 0.000
0.764 0.236 0.000
0.764 0.764 0.528
```


3.
For PrHfB12, a GGA-PBE-relaxed structure gives the computed powder diffractogram in this record (copper Kα).

Largest 12 diffraction maxima, most intense first, 2θ from 15° to 90°:
2theta, Rel. int.
30.92, 100
21.73, 70
38.11, 42
49.81, 34
54.99, 29
49.93, 17
68.89, 17
44.24, 14
73.09, 13
89.64, 12
68.80, 10
77.31, 9

Structural model:
```
PrHfB12
1.0
4.095 0.000 0.000
0.000 4.095 0.000
0.000 0.000 8.164
Pr Hf B
1 1 12
direct
0.000 0.000 0.000
0.000 0.000 0.500
0.198 0.500 0.255
0.198 0.500 0.745
0.500 0.198 0.255
0.500 0.198 0.745
0.500 0.500 0.102
0.500 0.500 0.403
0.500 0.500 0.597
0.500 0.500 0.898
0.500 0.802 0.255
0.500 0.802 0.745
0.802 0.500 0.255
0.802 0.500 0.745
```


4.
For NdAg2Hg4, a GGA-PBE-relaxed structure gives the computed powder diffractogram in this record (copper Kα).

Largest 12 diffraction maxima, most intense first, 2θ from 15° to 90°:
2theta, Rel. int.
35.71, 100
36.79, 58
65.56, 34
53.00, 27
25.78, 17
63.46, 15
28.56, 13
89.75, 11
75.66, 11
89.11, 8
69.68, 8
24.29, 7

Structural model:
```
NdAg2Hg4
1.0
4.887 0.000 0.000
0.000 4.887 0.000
0.000 0.000 7.329
Nd Ag Hg
1 2 4
direct
0.000 0.000 0.000
0.000 0.000 0.500
0.500 0.500 0.000
0.000 0.500 0.281
0.000 0.500 0.719
0.500 0.000 0.281
0.500 0.000 0.719
```


5.
For Er3Tm2Mg8, a GGA-PBE-relaxed structure gives the computed powder diffractogram in this record (copper Kα).

Largest 12 diffraction maxima, most intense first, 2θ from 15° to 90°:
2theta, Rel. int.
32.22, 100
30.75, 92
34.15, 79
21.41, 76
55.60, 43
37.77, 28
45.13, 24
73.52, 18
54.67, 18
56.88, 18
64.04, 18
49.47, 17

Structural model:
```
Er3Tm2Mg8
1.0
2.908 1.679 12.215
-2.908 1.679 12.215
0.000 -3.358 12.215
Er Tm Mg
3 2 8
direct
0.000 0.000 0.000
0.183 0.183 0.183
0.817 0.817 0.817
0.360 0.360 0.360
0.640 0.640 0.640
0.230 0.730 0.730
0.270 0.270 0.770
0.270 0.770 0.270
0.275 0.275 0.275
0.725 0.725 0.725
0.730 0.230 0.730
0.730 0.730 0.230
0.770 0.270 0.270
```


6.
For In7Sn3Bi2, a GGA-PBE-relaxed structure gives the computed powder diffractogram in this record (copper Kα).

Largest 12 diffraction maxima, most intense first, 2θ from 15° to 90°:
2theta, Rel. int.
32.25, 100
36.28, 100
31.40, 93
31.77, 37
63.03, 26
61.73, 24
54.14, 22
38.46, 20
53.13, 20
30.76, 18
65.66, 17
53.66, 16

Structural model:
```
In7Sn3Bi2
1.0
5.846 0.000 0.000
0.000 3.447 0.000
-1.096 0.000 17.097
In Sn Bi
7 3 2
direct
0.000 0.000 0.000
0.123 0.500 0.164
0.247 0.500 0.479
0.376 0.000 0.839
0.624 0.000 0.161
0.753 0.500 0.521
0.877 0.500 0.836
0.312 0.000 0.323
0.500 0.500 0.000
0.688 0.000 0.677
0.191 0.500 0.670
0.809 0.500 0.330
```


7.
For Pr8GeBi3Te4, a GGA-PBE-relaxed structure gives the computed powder diffractogram in this record (copper Kα).

Largest 12 diffraction maxima, most intense first, 2θ from 15° to 90°:
2theta, Rel. int.
27.65, 100
39.51, 77
48.87, 21
71.61, 19
64.54, 18
64.67, 17
57.11, 13
49.02, 7
71.81, 6
84.94, 4
85.17, 4
22.86, 3

Structural model:
```
Pr8GeBi3Te4
1.0
4.567 2.637 7.433
-4.567 2.637 7.433
0.000 -5.274 7.433
Pr Ge Bi Te
8 1 3 4
direct
0.249 0.249 0.249
0.261 0.738 0.738
0.262 0.262 0.739
0.262 0.739 0.262
0.738 0.261 0.738
0.738 0.738 0.261
0.739 0.262 0.262
0.751 0.751 0.751
0.500 0.500 0.500
0.000 0.000 0.500
0.000 0.500 0.000
0.500 0.000 0.000
0.000 0.000 0.000
0.000 0.500 0.500
0.500 0.000 0.500
0.500 0.500 0.000
```